Entry 1:
For Sr3Fe2Br2O5, a structure optimized by DFT (GGA+U) gives the simulated powder XRD pattern in this record (λ = 1.5418 Å (Cu Kα)).
No peak broadening, texture or thermal motion is included.

Cell and atoms:
a b c (Å): 4.010 4.010 26.722
angles (deg): 90.00 90.00 90.00
Space group I4/mmm (No. 139)
One atom of each set of equivalent atoms:
Sr (0.000, 0.000, 0.000)
Sr (0.000, 0.000, 0.141)
Fe (0.000, 0.000, 0.428)
Br (0.000, 0.000, 0.306)
O (0.000, 0.000, 0.500)
O (0.000, 0.500, 0.082)

The 6 most intense peaks (2θ = 5–70°), most intense first:
hkl	2θ (°)	Rel. int.
1 0 7	32.38	100
1 1 0	31.55	60
2 1 7	56.71	39
2 0 0	45.22	34
1 1 6	37.62	23
0 0 2	6.62	15

***

Entry 2:
For MnHg3F6, a structure optimized by DFT (GGA+U) gives the simulated powder XRD pattern in this record (λ = 1.5418 Å (Cu Kα)).
No peak broadening, texture or thermal motion is included.

Cell and atoms:
a b c (Å): 5.443 5.544 8.135
angles (deg): 89.79 71.26 82.05
Space group P-1 (No. 2)
One atom of each set of equivalent atoms:
Mn (0.000, 0.000, 0.000)
Hg (0.000, 0.000, 0.500)
Hg (0.500, 0.000, 0.500)
Hg (0.500, 0.500, 0.000)
F (0.149, 0.855, 0.163)
F (0.237, 0.286, 0.964)
F (0.272, 0.815, 0.822)

The 6 most intense peaks (2θ = 5–70°), most intense first:
hkl	2θ (°)	Rel. int.
0 0 2	23.11	100
0 1 -1	19.46	100
0 1 1	20.28	89
0 2 -2	39.47	47
0 1 0	16.16	46
0 2 0	32.65	34

***

Entry 3:
For LiMnAlO4, a structure optimized by DFT (GGA+U) gives the simulated powder XRD pattern in this record (λ = 1.5418 Å (Cu Kα)).
No peak broadening, texture or thermal motion is included.

Cell and atoms:
a b c (Å): 5.748 5.748 8.052
angles (deg): 90.00 90.00 90.00
Space group P4_322 (No. 95)
One atom of each set of equivalent atoms:
Li (0.000, 0.228, 0.000)
Mn (0.234, 0.500, 0.250)
Al (0.256, 0.256, 0.625)
O (0.007, 0.268, 0.260)
O (0.264, 0.488, 0.010)

The 6 most intense peaks (2θ = 5–70°), most intense first:
hkl	2θ (°)	Rel. int.
2 1 1	36.70	100
1 1 1	24.53	96
1 0 0	15.41	72
2 2 4	65.23	68
1 0 3	36.96	56
2 2 0	44.58	53

***

Entry 4:
For Li9Mn2Co5O16, a structure optimized by DFT (GGA+U) gives the simulated powder XRD pattern in this record (λ = 1.5418 Å (Cu Kα)).
No peak broadening, texture or thermal motion is included.

Cell and atoms:
a b c (Å): 10.375 5.758 10.344
angles (deg): 90.00 111.67 90.00
Space group Cm (No. 8)
One atom of each set of equivalent atoms:
Li (0.000, 0.000, 0.000)
Li (0.000, 0.250, 0.245)
Li (0.000, 0.500, 0.996)
Li (0.002, 0.252, 0.769)
Li (0.007, 0.500, 0.510)
Li (0.009, 0.000, 0.513)
Li (0.252, 0.000, 0.758)
Mn (0.253, 0.250, 0.508)
Co (0.250, 0.000, 0.247)
Co (0.251, 0.500, 0.254)
Co (0.254, 0.250, 0.998)
Co (0.255, 0.500, 0.756)
O (0.128, 0.500, 0.880)
O (0.135, 0.000, 0.893)
O (0.137, 0.000, 0.395)
O (0.138, 0.257, 0.141)
O (0.138, 0.500, 0.395)
O (0.150, 0.261, 0.626)
O (0.355, 0.255, 0.377)
O (0.364, 0.266, 0.877)
O (0.366, 0.500, 0.125)
O (0.369, 0.000, 0.611)
O (0.370, 0.000, 0.133)
O (0.373, 0.500, 0.614)

The 6 most intense peaks (2θ = 5–70°), most intense first:
hkl	2θ (°)	Rel. int.
2 0 0	18.41	100
2 2 2	44.27	51
4 0 -4	42.17	30
0 2 2	36.37	25
2 0 -4	35.03	16
2 2 -6	62.87	15

***

Entry 5:
For Na7W9O27, a structure optimized by DFT (GGA+U) gives the simulated powder XRD pattern in this record (λ = 1.5418 Å (Cu Kα)).
No peak broadening, texture or thermal motion is included.

Cell and atoms:
a b c (Å): 6.865 8.836 9.702
angles (deg): 100.84 90.04 104.67
Space group P1 (No. 1)
One atom of each set of equivalent atoms:
Na (0.000, 0.000, 0.000)
Na (0.110, 0.328, 0.554)
Na (0.221, 0.662, 0.112)
Na (0.555, 0.665, 0.777)
Na (0.665, 0.999, 0.334)
Na (0.776, 0.328, 0.888)
Na (0.888, 0.664, 0.442)
W (0.055, 0.666, 0.775)
W (0.166, 0.001, 0.334)
W (0.279, 0.329, 0.888)
W (0.389, 0.664, 0.444)
W (0.500, 0.998, 0.000)
W (0.609, 0.328, 0.553)
W (0.719, 0.661, 0.112)
W (0.831, 0.999, 0.667)
W (0.945, 0.333, 0.219)
O (0.001, 0.994, 0.493)
O (0.050, 0.160, 0.774)
O (0.052, 0.158, 0.278)
O (0.106, 0.330, 0.050)
O (0.155, 0.494, 0.335)
O (0.164, 0.495, 0.830)
O (0.215, 0.659, 0.613)
O (0.268, 0.823, 0.890)
O (0.278, 0.825, 0.386)
O (0.327, 0.990, 0.170)
O (0.383, 0.158, 0.441)
O (0.386, 0.161, 0.943)
O (0.447, 0.339, 0.717)
O (0.495, 0.504, 0.500)
O (0.502, 0.500, 0.993)
O (0.561, 0.674, 0.274)
O (0.605, 0.834, 0.054)
O (0.624, 0.831, 0.554)
O (0.671, 0.998, 0.837)
O (0.728, 0.165, 0.115)
O (0.728, 0.167, 0.610)
O (0.776, 0.334, 0.395)
O (0.836, 0.501, 0.671)
O (0.840, 0.501, 0.163)
O (0.889, 0.665, 0.945)
O (0.942, 0.824, 0.725)
O (0.951, 0.832, 0.223)

The 6 most intense peaks (2θ = 5–70°), most intense first:
hkl	2θ (°)	Rel. int.
1 1 1	22.46	100
0 3 0	32.05	43
2 -1 2	31.92	29
2 2 2	45.81	19
1 2 4	51.71	18
2 1 -1	31.85	14

***

Entry 6:
For Cs2ZrMnMo4O16, a structure optimized by DFT (GGA+U) gives the simulated powder XRD pattern in this record (λ = 1.5418 Å (Cu Kα)).
No peak broadening, texture or thermal motion is included.

Cell and atoms:
a b c (Å): 19.596 5.957 10.328
angles (deg): 90.00 121.68 90.00
Space group C2/m (No. 12)
One atom of each set of equivalent atoms:
Cs (0.243, 0.000, 0.232)
Zr (0.000, 0.500, 0.500)
Mn (0.000, 0.000, 0.000)
Mo (0.109, 0.500, 0.943)
Mo (0.111, 0.000, 0.445)
O (0.073, 0.500, 0.737)
O (0.076, 0.253, 0.493)
O (0.077, 0.252, 0.994)
O (0.079, 0.000, 0.250)
O (0.215, 0.500, 0.047)
O (0.216, 0.000, 0.550)

The 6 most intense peaks (2θ = 5–70°), most intense first:
hkl	2θ (°)	Rel. int.
4 0 -2	20.23	100
5 1 -1	27.50	85
0 2 0	29.99	67
6 2 -2	41.14	31
1 3 1	47.89	18
2 0 -2	17.18	18

***

Entry 7:
For Li4Mn3V3Te2O16, a structure optimized by DFT (GGA+U) gives the simulated powder XRD pattern in this record (λ = 1.5418 Å (Cu Kα)).
No peak broadening, texture or thermal motion is included.

Cell and atoms:
a b c (Å): 5.989 6.052 10.200
angles (deg): 90.75 90.92 118.49
Space group P1 (No. 1)
One atom of each set of equivalent atoms:
Li (0.000, 0.000, 0.000)
Li (0.009, 0.998, 0.495)
Li (0.334, 0.675, 0.591)
Li (0.689, 0.335, 0.077)
Mn (0.172, 0.341, 0.271)
Mn (0.185, 0.839, 0.272)
Mn (0.343, 0.170, 0.779)
V (0.662, 0.804, 0.261)
V (0.821, 0.661, 0.766)
V (0.836, 0.170, 0.772)
Te (0.329, 0.678, 0.997)
Te (0.677, 0.330, 0.483)
O (0.019, 0.002, 0.681)
O (0.056, 0.539, 0.131)
O (0.146, 0.302, 0.884)
O (0.155, 0.830, 0.898)
O (0.336, 0.158, 0.393)
O (0.364, 0.702, 0.372)
O (0.510, 0.967, 0.140)
O (0.533, 0.531, 0.159)
O (0.534, 0.032, 0.669)
O (0.544, 0.525, 0.663)
O (0.674, 0.342, 0.874)
O (0.717, 0.864, 0.877)
O (0.832, 0.154, 0.387)
O (0.838, 0.667, 0.388)
O (0.983, 0.488, 0.668)
O (0.998, 0.981, 0.185)

The 6 most intense peaks (2θ = 5–70°), most intense first:
hkl	2θ (°)	Rel. int.
1 0 1	19.22	100
0 1 1	19.00	45
1 0 -1	18.78	43
1 1 2	34.49	42
-1 1 2	24.50	40
1 0 -3	30.93	39